Diffraction record for PrZn2Ni2P. The powder diffractogram is theoretical, not measured: it uses the PBE geometry in Alexandria and Cu Kα, 1.54184 Å.
Neutral-atom scattering factors, no anomalous dispersion.

Cell and atoms:
a b c (Å): 4.277 4.277 5.607
angles (deg): 90.00 90.00 90.00
Space group P4/mmm (No. 123)
Unique sites:
1 Pr 0.000 0.000 0.000 [1 per cell]
2 Zn 0.500 0.500 0.236 [2 per cell]
3 Ni 0.000 0.500 0.500 [2 per cell]
4 P 0.000 0.000 0.500 [1 per cell]

The 10 most intense peaks (2θ = 10–90°), in order of rising 2θ:
2theta  I_rel
26.21  26
29.54  35
33.67  95
38.39  100
42.26  77
58.41  57
61.30  24
71.80  20
74.68  18
82.23  20

***

Diffraction record for NdDy2NpN4. The powder diffractogram is theoretical, not measured: it uses the PBE geometry in Alexandria and Cu Kα, 1.54184 Å.
Neutral-atom scattering factors, no anomalous dispersion.

Cell and atoms:
a b c (Å): 3.424 13.137 10.979
angles (deg): 90.00 90.00 90.00
Space group Cmcm (No. 63)
Unique sites:
1 Nd 0.000 0.232 0.250 [4 per cell]
2 Dy 0.000 0.372 0.513 [8 per cell]
3 Np 0.000 0.035 0.750 [4 per cell]
4 N 0.000 0.000 0.000 [4 per cell]
5 N 0.000 0.201 0.612 [8 per cell]
6 N 0.000 0.423 0.750 [4 per cell]

The 10 most intense peaks (2θ = 10–90°), in order of rising 2θ:
2theta  I_rel
31.54  100
31.75  85
32.62  56
33.22  30
34.24  39
43.42  22
47.25  26
53.84  17
57.54  18
63.60  24

***

Diffraction record for Sr3Sb2Rh. The powder diffractogram is theoretical, not measured: it uses the PBE geometry in Alexandria and Cu Kα, 1.54184 Å.
Neutral-atom scattering factors, no anomalous dispersion.

Cell and atoms:
a b c (Å): 12.939 4.563 13.044
angles (deg): 90.00 90.00 90.00
Space group Pnma (No. 62)
Unique sites:
1 Sr 0.058 0.250 0.124 [4 per cell]
2 Sr 0.114 0.750 0.547 [4 per cell]
3 Sr 0.221 0.250 0.795 [4 per cell]
4 Sb 0.020 0.750 0.309 [4 per cell]
5 Sb 0.200 0.750 0.986 [4 per cell]
6 Rh 0.127 0.250 0.364 [4 per cell]

The 10 most intense peaks (2θ = 10–90°), in order of rising 2θ:
2theta  I_rel
15.25  50
27.55  39
28.37  100
31.67  56
34.68  54
35.33  32
36.61  44
39.50  54
45.38  28
57.81  31

***

Diffraction record for Nd2S4N2O17. The powder diffractogram is theoretical, not measured: it uses the PBE geometry in Alexandria and Cu Kα, 1.54184 Å.
Neutral-atom scattering factors, no anomalous dispersion.

Cell and atoms:
a b c (Å): 6.958 6.986 9.810
angles (deg): 98.93 109.17 104.92
Space group P1 (No. 1)
Unique sites:
1 Nd 0.000 0.000 0.000 [1 per cell]
2 Nd 0.171 0.650 0.507 [1 per cell]
3 S 0.148 0.096 0.345 [1 per cell]
4 S 0.194 0.568 0.122 [1 per cell]
5 S 0.464 0.061 0.871 [1 per cell]
6 S 0.776 0.788 0.641 [1 per cell]
7 N 0.457 0.605 0.191 [1 per cell]
8 N 0.486 0.227 0.768 [1 per cell]
9 O 0.035 0.465 0.679 [1 per cell]
10 O 0.095 0.371 0.008 [1 per cell]
11 O 0.122 0.565 0.246 [1 per cell]
12 O 0.134 0.277 0.446 [1 per cell]
13 O 0.173 0.742 0.058 [1 per cell]
14 O 0.246 0.979 0.445 [1 per cell]
15 O 0.282 0.175 0.263 [1 per cell]
16 O 0.317 0.103 0.940 [1 per cell]
17 O 0.376 0.854 0.767 [1 per cell]
18 O 0.544 0.678 0.554 [1 per cell]
19 O 0.680 0.101 0.982 [1 per cell]
20 O 0.690 0.671 0.919 [1 per cell]
21 O 0.817 0.998 0.729 [1 per cell]
22 O 0.835 0.352 0.373 [1 per cell]
23 O 0.870 0.682 0.760 [1 per cell]
24 O 0.897 0.788 0.542 [1 per cell]
25 O 0.931 0.967 0.232 [1 per cell]

The 10 most intense peaks (2θ = 10–90°), in order of rising 2θ:
2theta  I_rel
13.60  39
13.89  45
14.28  100
14.57  96
19.86  29
26.37  24
26.54  66
27.43  29
29.51  23
32.67  35

***

Diffraction record for Dy2Sc4Ge3O2. The powder diffractogram is theoretical, not measured: it uses the PBE geometry in Alexandria and Cu Kα, 1.54184 Å.
Neutral-atom scattering factors, no anomalous dispersion.

Cell and atoms:
a b c (Å): 4.272 4.272 22.991
angles (deg): 90.00 90.00 90.00
Space group I4/mmm (No. 139)
Unique sites:
1 Dy 0.000 0.000 0.195 [4 per cell]
2 Sc 0.000 0.500 0.079 [8 per cell]
3 Ge 0.000 0.000 0.328 [4 per cell]
4 Ge 0.000 0.000 0.500 [2 per cell]
5 O 0.000 0.000 0.091 [4 per cell]

The 10 most intense peaks (2θ = 10–90°), in order of rising 2θ:
2theta  I_rel
23.84  52
29.57  58
30.60  77
31.12  33
34.44  61
37.93  100
42.31  78
53.44  28
55.65  30
74.46  26

***

Diffraction record for TbTcO4. The powder diffractogram is theoretical, not measured: it uses the PBE geometry in Alexandria and Cu Kα, 1.54184 Å.
Neutral-atom scattering factors, no anomalous dispersion.

Cell and atoms:
a b c (Å): 5.809 4.984 5.737
angles (deg): 90.00 109.49 90.00
Space group P2_1/c (No. 14)
Unique sites:
1 Tb 0.000 0.000 0.000 [2 per cell]
2 Tc 0.500 0.000 0.500 [2 per cell]
3 O 0.174 0.149 0.388 [4 per cell]
4 O 0.384 0.716 0.683 [4 per cell]

The 10 most intense peaks (2θ = 10–90°), in order of rising 2θ:
2theta  I_rel
26.02  100
32.32  44
32.71  23
33.13  22
36.04  14
49.45  17
49.75  18
50.57  17
51.16  17
53.51  16

***

Diffraction record for InHgTeBr. The powder diffractogram is theoretical, not measured: it uses the PBE geometry in Alexandria and Cu Kα, 1.54184 Å.
Neutral-atom scattering factors, no anomalous dispersion.

Cell and atoms:
a b c (Å): 4.3511 4.3511 8.9338
angles (deg): 90.00 90.00 120.00
Space group P3m1 (No. 156)
Unique sites:
1 In 0.0000 0.0000 0.0000 [1 per cell]
2 Hg 0.0000 0.0000 0.6968 [1 per cell]
3 Te 0.3333 0.6667 0.1533 [1 per cell]
4 Br 0.6667 0.3333 0.5276 [1 per cell]

The 10 most intense peaks (2θ = 10–90°), in order of rising 2θ:
2theta  I_rel
19.88  26
23.61  33
25.66  100
38.53  67
41.51  45
46.43  17
47.31  22
49.44  17
57.92  20
73.74  20

***

Diffraction record for AcPmSmY3. The powder diffractogram is theoretical, not measured: it uses the PBE geometry in Alexandria and Cu Kα, 1.54184 Å.
Neutral-atom scattering factors, no anomalous dispersion.

Cell and atoms:
a b c (Å): 10.953 3.675 10.994
angles (deg): 90.00 109.58 90.00
Space group P2_1/m (No. 11)
Unique sites:
1 Ac 0.209 0.250 0.372 [2 per cell]
2 Pm 0.128 0.750 0.630 [2 per cell]
3 Sm 0.377 0.250 0.877 [2 per cell]
4 Y 0.045 0.250 0.880 [2 per cell]
5 Y 0.294 0.750 0.119 [2 per cell]
6 Y 0.460 0.750 0.630 [2 per cell]

The 10 most intense peaks (2θ = 10–90°), in order of rising 2θ:
2theta  I_rel
29.84  100
29.99  33
34.63  67
49.62  8
49.73  16
49.85  16
59.04  20
59.16  23
59.31  14
61.92  8

***

Diffraction record for DyThHgIr. The powder diffractogram is theoretical, not measured: it uses the PBE geometry in Alexandria and Cu Kα, 1.54184 Å.
Neutral-atom scattering factors, no anomalous dispersion.

Cell and atoms:
a b c (Å): 4.1406 4.1406 22.4707
angles (deg): 90.00 90.00 120.00
Space group R3m (No. 160, hexagonal axes)
Unique sites:
1 Dy 0.0000 0.0000 0.0000 [3 per cell]
2 Th 0.0000 0.0000 0.1999 [3 per cell]
3 Hg 0.0000 0.0000 0.7623 [3 per cell]
4 Ir 0.0000 0.0000 0.5997 [3 per cell]

The 10 most intense peaks (2θ = 10–90°), in order of rising 2θ:
2theta  I_rel
26.08  38
29.55  20
31.93  100
37.61  34
43.72  56
47.77  15
55.15  22
67.44  13
72.90  19
80.32  11

***

Diffraction record for HoAl3Ru. The powder diffractogram is theoretical, not measured: it uses the PBE geometry in Alexandria and Cu Kα, 1.54184 Å.
Neutral-atom scattering factors, no anomalous dispersion.

Cell and atoms:
a b c (Å): 6.417 6.417 6.417
angles (deg): 90.00 90.00 90.00
Space group Pm-3m (No. 221)
Unique sites:
1 Ho 0.000 0.000 0.500 [3 per cell]
2 Al 0.000 0.000 0.000 [1 per cell]
3 Al 0.289 0.289 0.289 [8 per cell]
4 Ru 0.000 0.500 0.500 [3 per cell]

The 10 most intense peaks (2θ = 10–90°), in order of rising 2θ:
2theta  I_rel
19.56  31
27.80  53
34.23  19
39.73  100
44.65  11
49.18  17
57.44  15
64.99  25
72.11  29
85.62  9

***

Diffraction record for Tb2Pr3Nd3. The powder diffractogram is theoretical, not measured: it uses the PBE geometry in Alexandria and Cu Kα, 1.54184 Å.
Neutral-atom scattering factors, no anomalous dispersion.

Cell and atoms:
a b c (Å): 5.933 14.786 6.401
angles (deg): 90.00 90.00 90.00
Space group Pmmn (No. 59, origin choice 2)
Unique sites:
1 Tb 0.250 0.126 0.164 [4 per cell]
2 Pr 0.250 0.000 0.667 [4 per cell]
3 Pr 0.250 0.750 0.670 [2 per cell]
4 Nd 0.250 0.250 0.662 [2 per cell]
5 Nd 0.250 0.625 0.167 [4 per cell]

The 10 most intense peaks (2θ = 10–90°), in order of rising 2θ:
2theta  I_rel
27.87  23
30.13  26
31.76  100
41.51  16
49.31  20
54.55  22
58.88  23
59.86  16
81.13  14
83.59  9

***

Diffraction record for LaTbPmHo. The powder diffractogram is theoretical, not measured: it uses the PBE geometry in Alexandria and Cu Kα, 1.54184 Å.
Neutral-atom scattering factors, no anomalous dispersion.

Cell and atoms:
a b c (Å): 5.140 5.140 10.213
angles (deg): 90.00 90.00 90.00
Space group I-4m2 (No. 119)
Unique sites:
1 La 0.000 0.000 0.000 [2 per cell]
2 Tb 0.000 0.000 0.500 [2 per cell]
3 Pm 0.000 0.500 0.250 [2 per cell]
4 Ho 0.000 0.500 0.750 [2 per cell]

The 10 most intense peaks (2θ = 10–90°), in order of rising 2θ:
2theta  I_rel
30.18  100
34.91  34
35.15  17
50.21  12
50.38  24
59.71  29
60.02  14
62.76  12
81.69  6
81.97  12